Record 1
This entry pairs a crystal structure of MgCd2W2O8 with its theoretical X-ray powder pattern. Radiation: λ = 1.5418 Å (Cu Kα). Structure: a GGA+U-relaxed structure.
Peak positions follow from Bragg's law for the DFT cell and can differ from measured ones.

Largest 6 diffraction maxima, by intensity, 5 to 70 degrees two-theta:
Position (°2θ)	I/Imax	h k l
27.36	100	1 1 -1
21.84	89	0 1 1
28.54	84	1 1 1
33.10	73	1 2 0
48.83	38	1 2 2
47.34	38	1 2 -2

Crystal structure
```
data_MgCd2W2O8
_symmetry_space_group_name_H-M 'P 1 2 1'
_symmetry_Int_Tables_number 3
_cell_length_a 5.153
_cell_length_b 6.366
_cell_length_c 5.300
_cell_angle_alpha 90.00
_cell_angle_beta 93.19
_cell_angle_gamma 90.00
loop_
_symmetry_equiv_pos_as_xyz
'x,y,z'
'-x,y,-z'
loop_
_atom_site_label
_atom_site_type_symbol
_atom_site_fract_x
_atom_site_fract_y
_atom_site_fract_z
_atom_site_occupancy
Mg1 Mg 0.000 0.000 0.000 1
Cd1 Cd 0.000 0.440 0.000 1
Cd2 Cd 0.500 0.717 0.000 1
W1 W 0.000 0.922 0.500 1
W2 W 0.500 0.241 0.500 1
O1 O 0.124 0.743 0.776 1
O2 O 0.194 0.167 0.714 1
O3 O 0.293 0.992 0.283 1
O4 O 0.363 0.438 0.254 1
```



Record 2
This entry pairs a crystal structure of Na2Mn2CdP3O12 with its theoretical X-ray powder pattern. Radiation: λ = 1.5418 Å (Cu Kα). Structure: a GGA+U-relaxed structure.
Peak positions follow from Bragg's law for the DFT cell and can differ from measured ones.

Largest 6 diffraction maxima, by intensity, 5 to 70 degrees two-theta:
Position (°2θ)	I/Imax	h k l
32.39	100	2 4 0
13.90	85	0 2 0
32.22	41	4 0 0
34.07	32	1 3 -2
40.76	30	3 1 -3
20.53	27	1 1 1

Crystal structure
```
data_Na2Mn2CdP3O12
_symmetry_space_group_name_H-M 'C 1 2/c 1'
_symmetry_Int_Tables_number 15
_cell_length_a 12.316
_cell_length_b 12.741
_cell_length_c 6.804
_cell_angle_alpha 90.00
_cell_angle_beta 115.55
_cell_angle_gamma 90.00
loop_
_symmetry_equiv_pos_as_xyz
'x,y,z'
'-x,-y,-z'
'-x,y,-z+1/2'
'x,-y,z+1/2'
'x+1/2,y+1/2,z'
'-x+1/2,-y+1/2,-z'
'-x+1/2,y+1/2,-z+1/2'
'x+1/2,-y+1/2,z+1/2'
loop_
_atom_site_label
_atom_site_type_symbol
_atom_site_fract_x
_atom_site_fract_y
_atom_site_fract_z
_atom_site_occupancy
Na1 Na 0.000 0.000 0.000 1
Na2 Na 0.000 0.481 0.250 1
Mn1 Mn 0.224 0.340 0.637 1
Cd1 Cd 0.000 0.233 0.750 1
P1 P 0.000 0.218 0.250 1
P2 P 0.236 0.392 0.126 1
O1 O 0.046 0.290 0.456 1
O2 O 0.097 0.141 0.246 1
O3 O 0.130 0.093 0.822 1
O4 O 0.167 0.339 0.899 1
O5 O 0.172 0.499 0.116 1
O6 O 0.225 0.323 0.307 1
```



Record 3
This entry pairs a crystal structure of MnCd6O8 with its theoretical X-ray powder pattern. Radiation: λ = 1.5418 Å (Cu Kα). Structure: a GGA+U-relaxed structure.
Peak positions follow from Bragg's law for the DFT cell and can differ from measured ones.

Largest 6 diffraction maxima, by intensity, 5 to 70 degrees two-theta:
Position (°2θ)	I/Imax	h k l
32.97	100	2 2 2
38.25	95	4 0 0
55.21	58	4 4 0
65.82	43	6 2 2
18.86	22	2 0 0
69.15	18	4 4 4

Crystal structure
```
data_MnCd6O8
_symmetry_space_group_name_H-M 'F m -3 m'
_symmetry_Int_Tables_number 225
_symmetry_space_group_name_Hall '-F 4 2 3'
_cell_length_a 9.411
_cell_length_b 9.411
_cell_length_c 9.411
_cell_angle_alpha 90.00
_cell_angle_beta 90.00
_cell_angle_gamma 90.00
loop_
_atom_site_label
_atom_site_type_symbol
_atom_site_fract_x
_atom_site_fract_y
_atom_site_fract_z
_atom_site_occupancy
Mn1 Mn 0.000 0.000 0.000 1
Cd1 Cd 0.000 0.250 0.250 1
O1 O 0.000 0.000 0.210 1
O2 O 0.250 0.250 0.250 1
```



Record 4
This entry pairs a crystal structure of Mn2Cd3O5 with its theoretical X-ray powder pattern. Radiation: λ = 1.5418 Å (Cu Kα). Structure: a GGA+U-relaxed structure.
Peak positions follow from Bragg's law for the DFT cell and can differ from measured ones.

Largest 6 diffraction maxima, by intensity, 5 to 70 degrees two-theta:
Position (°2θ)	I/Imax	h k l
38.47	100	2 1 1
33.10	52	1 1 2
33.21	48	1 2 0
55.53	41	2 0 3
66.15	20	1 3 3
66.35	13	1 4 1

Crystal structure
```
data_Mn2Cd3O5
_symmetry_space_group_name_H-M 'P 1'
_symmetry_Int_Tables_number 1
_cell_length_a 4.683
_cell_length_b 5.721
_cell_length_c 5.740
_cell_angle_alpha 80.25
_cell_angle_beta 65.94
_cell_angle_gamma 65.86
loop_
_symmetry_equiv_pos_as_xyz
'x,y,z'
loop_
_atom_site_label
_atom_site_type_symbol
_atom_site_fract_x
_atom_site_fract_y
_atom_site_fract_z
_atom_site_occupancy
Mn1 Mn 0.000 0.000 0.000 1
Mn2 Mn 0.203 0.393 0.198 1
Cd1 Cd 0.407 0.791 0.396 1
Cd2 Cd 0.602 0.197 0.598 1
Cd3 Cd 0.798 0.603 0.800 1
O1 O 0.104 0.199 0.596 1
O2 O 0.283 0.615 0.820 1
O3 O 0.492 0.016 0.003 1
O4 O 0.718 0.377 0.192 1
O5 O 0.923 0.780 0.376 1
```



Record 5
This entry pairs a crystal structure of Mn2CdO3 with its theoretical X-ray powder pattern. Radiation: λ = 1.5418 Å (Cu Kα). Structure: a GGA+U-relaxed structure.
Peak positions follow from Bragg's law for the DFT cell and can differ from measured ones.

Largest 6 diffraction maxima, by intensity, 5 to 70 degrees two-theta:
Position (°2θ)	I/Imax	h k l
39.22	100	1 3 -1
33.65	64	1 3 0
39.00	51	2 0 0
56.43	46	1 3 1
33.76	32	0 0 1
33.87	31	2 0 -1

Crystal structure
```
data_Mn2CdO3
_symmetry_space_group_name_H-M 'C 1 2/m 1'
_symmetry_Int_Tables_number 12
_cell_length_a 5.632
_cell_length_b 9.781
_cell_length_c 3.237
_cell_angle_alpha 90.00
_cell_angle_beta 124.89
_cell_angle_gamma 90.00
loop_
_symmetry_equiv_pos_as_xyz
'x,y,z'
'-x,-y,-z'
'-x,y,-z'
'x,-y,z'
'x+1/2,y+1/2,z'
'-x+1/2,-y+1/2,-z'
'-x+1/2,y+1/2,-z'
'x+1/2,-y+1/2,z'
loop_
_atom_site_label
_atom_site_type_symbol
_atom_site_fract_x
_atom_site_fract_y
_atom_site_fract_z
_atom_site_occupancy
Mn1 Mn 0.000 0.167 0.000 1
Cd1 Cd 0.000 0.500 0.000 1
O1 O 0.000 0.000 0.500 1
O2 O 0.000 0.321 0.500 1
```



Record 6
This entry pairs a crystal structure of Mn4CdO5 with its theoretical X-ray powder pattern. Radiation: λ = 1.5418 Å (Cu Kα). Structure: a GGA+U-relaxed structure.
Peak positions follow from Bragg's law for the DFT cell and can differ from measured ones.

Largest 6 diffraction maxima, by intensity, 5 to 70 degrees two-theta:
Position (°2θ)	I/Imax	h k l
33.91	100	1 0 5
39.26	91	1 1 0
56.94	52	1 1 10
39.53	43	0 0 10
56.74	27	2 0 0
67.77	27	2 1 5

Crystal structure
```
data_Mn4CdO5
_symmetry_space_group_name_H-M 'I 4/m m m'
_symmetry_Int_Tables_number 139
_symmetry_space_group_name_Hall '-I 4 2'
_cell_length_a 3.245
_cell_length_b 3.245
_cell_length_c 22.795
_cell_angle_alpha 90.00
_cell_angle_beta 90.00
_cell_angle_gamma 90.00
loop_
_atom_site_label
_atom_site_type_symbol
_atom_site_fract_x
_atom_site_fract_y
_atom_site_fract_z
_atom_site_occupancy
Mn1 Mn 0.000 0.000 0.103 1
Mn2 Mn 0.000 0.000 0.298 1
Cd1 Cd 0.000 0.000 0.500 1
O1 O 0.000 0.000 0.000 1
O2 O 0.000 0.000 0.201 1
O3 O 0.000 0.000 0.395 1
```



Record 7
This entry pairs a crystal structure of Mn2CdO4 with its theoretical X-ray powder pattern. Radiation: λ = 1.5418 Å (Cu Kα). Structure: a GGA+U-relaxed structure.
Peak positions follow from Bragg's law for the DFT cell and can differ from measured ones.

Largest 6 diffraction maxima, by intensity, 5 to 70 degrees two-theta:
Position (°2θ)	I/Imax	h k l
35.01	100	1 3 1
27.80	72	2 0 2
30.83	71	1 1 3
57.43	46	4 0 4
30.14	29	2 2 0
48.13	27	1 1 5

Crystal structure
```
data_Mn2CdO4
_symmetry_space_group_name_H-M 'F d d d'
_symmetry_Int_Tables_number 70
_cell_length_a 8.376
_cell_length_b 8.395
_cell_length_c 9.974
_cell_angle_alpha 90.00
_cell_angle_beta 90.00
_cell_angle_gamma 90.00
loop_
_symmetry_equiv_pos_as_xyz
'x,y,z'
'-x,-y,-z'
'-x+1/4,-y+1/4,z'
'x+1/4,y+1/4,-z'
'x,-y+1/4,-z+1/4'
'-x,y+1/4,z+1/4'
'-x+1/4,y,-z+1/4'
'x+1/4,-y,z+1/4'
'x,y+1/2,z+1/2'
'-x,-y+1/2,-z+1/2'
'-x+1/4,-y+3/4,z+1/2'
'x+1/4,y+3/4,-z+1/2'
'x,-y+3/4,-z+3/4'
'-x,y+3/4,z+3/4'
'-x+1/4,y+1/2,-z+3/4'
'x+1/4,-y+1/2,z+3/4'
'x+1/2,y,z+1/2'
'-x+1/2,-y,-z+1/2'
'-x+3/4,-y+1/4,z+1/2'
'x+3/4,y+1/4,-z+1/2'
'x+1/2,-y+1/4,-z+3/4'
'-x+1/2,y+1/4,z+3/4'
'-x+3/4,y,-z+3/4'
'x+3/4,-y,z+3/4'
'x+1/2,y+1/2,z'
'-x+1/2,-y+1/2,-z'
'-x+3/4,-y+3/4,z'
'x+3/4,y+3/4,-z'
'x+1/2,-y+3/4,-z+1/4'
'-x+1/2,y+3/4,z+1/4'
'-x+3/4,y+1/2,-z+1/4'
'x+3/4,-y+1/2,z+1/4'
loop_
_atom_site_label
_atom_site_type_symbol
_atom_site_fract_x
_atom_site_fract_y
_atom_site_fract_z
_atom_site_occupancy
Mn1 Mn 0.000 0.000 0.000 1
Cd1 Cd 0.125 0.125 0.625 1
O1 O 0.017 0.016 0.234 1
```



Record 8
This entry pairs a crystal structure of MnCd2TeO6 with its theoretical X-ray powder pattern. Radiation: λ = 1.5418 Å (Cu Kα). Structure: a GGA+U-relaxed structure.
Peak positions follow from Bragg's law for the DFT cell and can differ from measured ones.

Largest 6 diffraction maxima, by intensity, 5 to 70 degrees two-theta:
Position (°2θ)	I/Imax	h k l
33.69	100	2 -1 1
30.79	86	2 0 -1
30.67	85	1 -2 0
33.93	55	1 2 -1
27.44	52	0 0 2
23.90	45	1 1 1

Crystal structure
```
data_MnCd2TeO6
_symmetry_space_group_name_H-M 'P 1'
_symmetry_Int_Tables_number 1
_cell_length_a 6.479
_cell_length_b 6.497
_cell_length_c 6.504
_cell_angle_alpha 90.13
_cell_angle_beta 90.24
_cell_angle_gamma 90.79
loop_
_symmetry_equiv_pos_as_xyz
'x,y,z'
loop_
_atom_site_label
_atom_site_type_symbol
_atom_site_fract_x
_atom_site_fract_y
_atom_site_fract_z
_atom_site_occupancy
Mn1 Mn 0.000 0.000 0.000 1
Mn2 Mn 0.184 0.516 0.303 1
Cd1 Cd 0.388 0.204 0.686 1
Cd2 Cd 0.490 0.700 0.816 1
Cd3 Cd 0.691 0.389 0.201 1
Cd4 Cd 0.876 0.903 0.502 1
Te1 Te 0.432 0.952 0.247 1
Te2 Te 0.945 0.453 0.756 1
O1 O 0.004 0.161 0.703 1
O2 O 0.016 0.389 0.043 1
O3 O 0.142 0.867 0.286 1
O4 O 0.230 0.517 0.671 1
O5 O 0.346 0.993 0.960 1
O6 O 0.382 0.240 0.322 1
O7 O 0.471 0.660 0.179 1
O8 O 0.516 0.909 0.535 1
O9 O 0.655 0.390 0.824 1
O10 O 0.723 0.026 0.191 1
O11 O 0.882 0.742 0.822 1
O12 O 0.883 0.515 0.465 1
```